Calculated powder X-ray diffraction pattern of PrSi4Rh4 for copper Kα, from a structure optimized by DFT (PBE).
Peak positions follow from Bragg's law for the DFT cell and can differ from measured ones.

Main lines, by intensity (2θ from 15° to 90°):
2θ/deg, d (Å), Rel. int., hkl
31.61, 2.831, 100, 1 2 1
32.96, 2.718, 55, 3 1 0
43.70, 2.071, 41, 3 2 1
58.01, 1.590, 24, 4 3 1
55.42, 1.658, 24, 3 1 2
43.24, 2.092, 23, 0 0 2
71.98, 1.312, 20, 5 1 2
48.81, 1.866, 15, 1 4 1
54.44, 1.686, 13, 5 1 0
47.30, 1.922, 9, 2 4 0
79.62, 1.204, 9, 3 2 3
78.00, 1.225, 8, 6 3 1

Crystal structure
Unit cell a=8.594 b=8.594 c=4.185 alpha=90.00 beta=90.00 gamma=90.00
Space group I4/m (No. 87)
Symmetry-distinct sites (fractional):
Pr 0.000 0.000 0.000
Si 0.163 0.279 0.500
Rh 0.094 0.644 0.500



Calculated powder X-ray diffraction pattern of Pr4SiRh for copper Kα, from a structure optimized by DFT (PBE).
Peak positions follow from Bragg's law for the DFT cell and can differ from measured ones.

Main lines, by intensity (2θ from 15° to 90°):
2θ/deg, d (Å), Rel. int., hkl
30.43, 2.937, 100, 0 4 1
34.10, 2.629, 90, 1 5 0
32.74, 2.736, 86, 2 4 -1
30.31, 2.949, 82, 3 1 -1
35.51, 2.528, 57, 0 2 2
36.86, 2.438, 56, 2 2 1
25.12, 3.545, 49, 1 1 1
39.69, 2.271, 41, 3 3 0
34.81, 2.577, 35, 1 3 -2
29.57, 3.020, 31, 1 1 -2
38.84, 2.319, 30, 3 3 -2
48.45, 1.879, 27, 4 2 0

Crystal structure
Unit cell a=9.056 b=13.978 c=6.293 alpha=90.00 beta=120.51 gamma=90.00
Space group C2/c (No. 15)
Symmetry-distinct sites (fractional):
Pr 0.124 0.187 0.088
Pr 0.208 0.436 0.301
Si 0.000 0.373 0.750
Rh 0.000 0.001 0.250